This entry pairs a crystal structure of BaCoO2 with its computed X-ray diffraction stick pattern. Radiation: λ = 1.5418 Å (Cu Kα). Structure: DFT lattice parameters and positions (GGA+U).

Structure:
```
12
Lattice="5.9143 0.0000 0.0000 -2.9572 5.1220 0.0000 0.0000 0.0000 6.8939" Properties=species:S:1:pos:R:3 pbc="T T T"
Ba -1.0253 1.7758 1.1490
Ba 2.0505 0.0000 5.7449
Ba 1.9319 3.3461 3.4469
Co -1.1865 2.0552 4.5959
Co 2.3731 0.0000 2.2980
Co 1.7706 3.0668 0.0000
O -1.3046 3.5714 3.1881
O 0.5166 2.2064 5.4861
O 1.6525 1.5506 1.4078
O 0.7880 4.4661 0.8901
O 3.7452 0.6559 3.7058
O 3.4737 2.9155 6.0038
```

Largest 10 diffraction maxima, in order of rising 2θ, 2θ = 15–90°:
| 2θ (°) | I/Imax |
| --- | --- |
| 21.61 | 30 |
| 30.22 | 96 |
| 31.28 | 100 |
| 37.46 | 22 |
| 44.05 | 48 |
| 48.87 | 14 |
| 53.68 | 16 |
| 54.35 | 36 |
| 56.32 | 18 |
| 73.58 | 15 |